Starting from the PBE geometry in Alexandria, the powder X-ray diffraction pattern of Ti9In11Cu4 was simulated for a wavelength of 1.5418 Å.
Intensities are scaled so that the largest is 100.

Structure:
a = 14.0026 Å, b = 20.2490 Å, c = 3.1439 Å
α = 90.00°, β = 90.00°, γ = 90.00°
Space group Cmmm (No. 65)
Unique sites:
Ti 0.0000 0.0000 0.0000 (multiplicity 2)
Ti 0.0988 0.2424 0.0000 (multiplicity 8)
Ti 0.1459 0.4291 0.0000 (multiplicity 8)
In 0.0000 0.1342 0.5000 (multiplicity 4)
In 0.0000 0.3463 0.5000 (multiplicity 4)
In 0.0000 0.5000 0.5000 (multiplicity 2)
In 0.1996 0.0000 0.5000 (multiplicity 4)
In 0.2403 0.3236 0.5000 (multiplicity 8)
Cu 0.1481 0.1016 0.0000 (multiplicity 8)

Largest 8 diffraction maxima, in order of rising 2θ, 2θ = 15–90°:
2θ = 25.44°, d = 3.501 Å, I 19, hkl 4 0 0; 2θ = 35.99°, d = 2.495 Å, I 24, hkl 2 4 1; 2θ = 36.99°, d = 2.430 Å, I 100, hkl 4 6 0; 2θ = 38.49°, d = 2.339 Å, I 93, hkl 4 0 1; 2θ = 39.16°, d = 2.300 Å, I 84, hkl 0 6 1; 2θ = 41.17°, d = 2.192 Å, I 19, hkl 3 5 1; 2θ = 58.74°, d = 1.572 Å, I 19, hkl 0 0 2; 2θ = 71.49°, d = 1.320 Å, I 23, hkl 4 6 2

***

Starting from the PBE geometry in Alexandria, the powder X-ray diffraction pattern of Tm12In6Cu was simulated for a wavelength of 1.5418 Å.
Intensities are scaled so that the largest is 100.

Structure:
a = 11.2879 Å, b = 11.2879 Å, c = 13.8986 Å
α = 90.00°, β = 90.00°, γ = 120.00°
Space group R-3 (No. 148, hexagonal axes)
Unique sites:
Tm 0.0342 0.1844 0.3275 (multiplicity 18)
Tm 0.0570 0.8469 0.9075 (multiplicity 18)
In 0.0274 0.4301 0.2115 (multiplicity 18)
Cu 0.0000 0.0000 0.5000 (multiplicity 3)

Largest 8 diffraction maxima, in order of rising 2θ, 2θ = 15–90°:
2θ = 24.91°, d = 3.574 Å, I 18, hkl 2 1 1; 2θ = 27.28°, d = 3.270 Å, I 17, hkl 1 0 4; 2θ = 33.52°, d = 2.674 Å, I 28, hkl 0 1 5; 2θ = 33.66°, d = 2.662 Å, I 100, hkl 1 3 1; 2θ = 35.50°, d = 2.529 Å, I 85, hkl 3 -1 4; 2θ = 37.28°, d = 2.412 Å, I 24, hkl 2 2 3; 2θ = 58.87°, d = 1.569 Å, I 13, hkl 5 -4 6; 2θ = 62.63°, d = 1.483 Å, I 18, hkl 2 5 3

***

Starting from the PBE geometry in Alexandria, the powder X-ray diffraction pattern of Tm8In2Cu was simulated for a wavelength of 1.5418 Å.
Intensities are scaled so that the largest is 100.

Structure:
a = 18.1798 Å, b = 5.0800 Å, c = 6.6365 Å
α = 90.00°, β = 102.82°, γ = 90.00°
Space group C2/m (No. 12)
Unique sites:
Tm 0.0164 0.0000 0.2720 (multiplicity 4)
Tm 0.0920 0.5000 0.9550 (multiplicity 4)
Tm 0.1473 0.5000 0.4720 (multiplicity 4)
Tm 0.2053 0.0000 0.7964 (multiplicity 4)
In 0.1881 0.0000 0.2471 (multiplicity 4)
Cu 0.0000 0.5000 0.5000 (multiplicity 2)

Largest 8 diffraction maxima, in order of rising 2θ, 2θ = 15–90°:
2θ = 28.63°, d = 3.118 Å, I 34, hkl 3 1 1; 2θ = 30.75°, d = 2.907 Å, I 100, hkl 5 1 0; 2θ = 32.24°, d = 2.777 Å, I 66, hkl 1 1 -2; 2θ = 33.49°, d = 2.675 Å, I 31, hkl 3 1 -2; 2θ = 34.17°, d = 2.624 Å, I 59, hkl 1 1 2; 2θ = 35.34°, d = 2.540 Å, I 74, hkl 0 2 0; 2θ = 47.25°, d = 1.924 Å, I 29, hkl 4 2 -2; 2θ = 65.38°, d = 1.427 Å, I 27, hkl 7 1 3

***

Starting from the PBE geometry in Alexandria, the powder X-ray diffraction pattern of TmIn6Cu6 was simulated for a wavelength of 1.5418 Å.
Intensities are scaled so that the largest is 100.

Structure:
a = 5.4870 Å, b = 9.1969 Å, c = 9.2322 Å
α = 90.00°, β = 90.00°, γ = 90.00°
Space group Immm (No. 71)
Unique sites:
Tm 0.0000 0.0000 0.0000 (multiplicity 2)
In 0.0000 0.0000 0.3406 (multiplicity 4)
In 0.0000 0.3368 0.0000 (multiplicity 4)
In 0.0000 0.5000 0.3208 (multiplicity 4)
Cu 0.0000 0.2616 0.5000 (multiplicity 4)
Cu 0.2500 0.2500 0.2500 (multiplicity 8)

Largest 8 diffraction maxima, in order of rising 2θ, 2θ = 15–90°:
2θ = 32.64°, d = 2.743 Å, I 33, hkl 2 0 0; 2θ = 33.38°, d = 2.684 Å, I 60, hkl 1 0 3; 2θ = 38.18°, d = 2.357 Å, I 62, hkl 2 2 0; 2θ = 38.87°, d = 2.317 Å, I 100, hkl 1 2 3; 2θ = 39.18°, d = 2.299 Å, I 31, hkl 0 4 0; 2θ = 43.11°, d = 2.099 Å, I 40, hkl 2 2 2; 2θ = 43.85°, d = 2.064 Å, I 27, hkl 0 2 4; 2θ = 62.43°, d = 1.487 Å, I 24, hkl 3 2 3

***

Starting from the PBE geometry in Alexandria, the powder X-ray diffraction pattern of Tm2Zn3InCu12 was simulated for a wavelength of 1.5418 Å.
Intensities are scaled so that the largest is 100.

Structure:
a = 8.8486 Å, b = 8.8486 Å, c = 12.2555 Å
α = 90.00°, β = 90.00°, γ = 120.00°
Space group R-3m (No. 166, hexagonal axes)
Unique sites:
Tm 0.0000 0.0000 0.2046 (multiplicity 6)
Zn 0.0000 0.5000 0.0000 (multiplicity 9)
In 0.0000 0.0000 0.5000 (multiplicity 3)
Cu 0.0033 0.5017 0.2042 (multiplicity 18)
Cu 0.0318 0.5159 0.6008 (multiplicity 18)

Largest 8 diffraction maxima, in order of rising 2θ, 2θ = 15–90°:
2θ = 29.77°, d = 3.001 Å, I 32, hkl 1 1 3; 2θ = 40.79°, d = 2.212 Å, I 100, hkl 2 2 0; 2θ = 41.70°, d = 2.166 Å, I 16, hkl 0 3 3; 2θ = 43.85°, d = 2.065 Å, I 59, hkl 2 0 5; 2θ = 61.43°, d = 1.509 Å, I 19, hkl 0 4 5; 2θ = 74.26°, d = 1.277 Å, I 14, hkl 6 0 0; 2θ = 76.38°, d = 1.247 Å, I 18, hkl 4 2 5; 2θ = 82.67°, d = 1.167 Å, I 12, hkl 0 2 10

***

Starting from the PBE geometry in Alexandria, the powder X-ray diffraction pattern of VInCu was simulated for a wavelength of 1.5418 Å.
Intensities are scaled so that the largest is 100.

Structure:
a = 4.7547 Å, b = 8.3752 Å, c = 9.7259 Å
α = 90.00°, β = 90.00°, γ = 90.00°
Space group Fmmm (No. 69)
Unique sites:
V 0.0000 0.1824 0.0000 (multiplicity 8)
In 0.0000 0.0000 0.3581 (multiplicity 8)
Cu 0.2500 0.2500 0.2500 (multiplicity 8)

Largest 8 diffraction maxima, in order of rising 2θ, 2θ = 15–90°:
2θ = 23.38°, d = 3.805 Å, I 50, hkl 1 1 1; 2θ = 35.18°, d = 2.551 Å, I 100, hkl 1 1 3; 2θ = 38.52°, d = 2.337 Å, I 73, hkl 1 3 1; 2θ = 43.02°, d = 2.103 Å, I 78, hkl 0 2 4; 2θ = 43.21°, d = 2.094 Å, I 29, hkl 0 4 0; 2θ = 43.79°, d = 2.067 Å, I 40, hkl 2 2 0; 2θ = 47.81°, d = 1.903 Å, I 42, hkl 2 2 2; 2θ = 79.66°, d = 1.204 Å, I 28, hkl 2 6 0

***

Starting from the PBE geometry in Alexandria, the powder X-ray diffraction pattern of Y6InCu2 was simulated for a wavelength of 1.5418 Å.
Intensities are scaled so that the largest is 100.

Structure:
a = 9.4432 Å, b = 9.9015 Å, c = 10.3131 Å
α = 90.00°, β = 90.00°, γ = 90.00°
Space group Immm (No. 71)
Unique sites:
Y 0.0000 0.1971 0.2382 (multiplicity 8)
Y 0.1939 0.5000 0.1772 (multiplicity 8)
Y 0.2164 0.3154 0.5000 (multiplicity 8)
In 0.0000 0.0000 0.0000 (multiplicity 2)
In 0.0000 0.0000 0.5000 (multiplicity 2)
Cu 0.0000 0.3441 0.0000 (multiplicity 4)
Cu 0.0000 0.5000 0.3814 (multiplicity 4)

Largest 8 diffraction maxima, in order of rising 2θ, 2θ = 15–90°:
2θ = 29.78°, d = 3.000 Å, I 22, hkl 3 1 0; 2θ = 31.41°, d = 2.848 Å, I 100, hkl 2 2 2; 2θ = 33.49°, d = 2.676 Å, I 39, hkl 2 1 3; 2θ = 33.61°, d = 2.667 Å, I 72, hkl 1 3 2; 2θ = 34.27°, d = 2.617 Å, I 44, hkl 2 3 1; 2θ = 34.84°, d = 2.575 Å, I 39, hkl 0 0 4; 2θ = 38.12°, d = 2.361 Å, I 27, hkl 4 0 0; 2θ = 59.14°, d = 1.562 Å, I 29, hkl 5 3 2

***

Starting from the PBE geometry in Alexandria, the powder X-ray diffraction pattern of Y3InCu8 was simulated for a wavelength of 1.5418 Å.
Intensities are scaled so that the largest is 100.

Structure:
a = 5.2038 Å, b = 5.2038 Å, c = 25.6119 Å
α = 90.00°, β = 90.00°, γ = 120.00°
Space group R3m (No. 160, hexagonal axes)
Unique sites:
Y 0.0000 0.0000 0.0000 (multiplicity 3)
Y 0.0000 0.0000 0.1250 (multiplicity 3)
Y 0.0000 0.0000 0.6173 (multiplicity 3)
In 0.0000 0.0000 0.4932 (multiplicity 3)
Cu 0.0000 0.0000 0.3091 (multiplicity 3)
Cu 0.0000 0.0000 0.8101 (multiplicity 3)
Cu 0.9998 0.4999 0.0593 (multiplicity 9)
Cu 0.0051 0.5026 0.5598 (multiplicity 9)

Largest 8 diffraction maxima, in order of rising 2θ, 2θ = 15–90°:
2θ = 34.36°, d = 2.610 Å, I 26, hkl 0 1 8; 2θ = 34.47°, d = 2.602 Å, I 27, hkl 1 1 0; 2θ = 40.58°, d = 2.223 Å, I 100, hkl 1 1 6; 2θ = 40.65°, d = 2.219 Å, I 34, hkl 2 0 2; 2θ = 42.53°, d = 2.126 Å, I 30, hkl 0 2 4; 2θ = 65.88°, d = 1.418 Å, I 29, hkl 3 0 6; 2θ = 72.42°, d = 1.305 Å, I 15, hkl 0 2 16; 2θ = 72.68°, d = 1.301 Å, I 16, hkl 2 2 0

***

Starting from the PBE geometry in Alexandria, the powder X-ray diffraction pattern of Y2In3Cu was simulated for a wavelength of 1.5418 Å.
Intensities are scaled so that the largest is 100.

Structure:
a = 3.6290 Å, b = 4.7650 Å, c = 8.3127 Å
α = 90.00°, β = 90.00°, γ = 90.00°
Space group Pmm2 (No. 25)
Unique sites:
Y 0.0000 0.0000 0.0000 (multiplicity 1)
Y 0.0000 0.5000 0.4789 (multiplicity 1)
In 0.5000 0.0000 0.6318 (multiplicity 1)
In 0.5000 0.5000 0.1696 (multiplicity 1)
In 0.5000 0.5000 0.8238 (multiplicity 1)
Cu 0.5000 0.0000 0.3130 (multiplicity 1)

Largest 8 diffraction maxima, in order of rising 2θ, 2θ = 15–90°:
2θ = 24.53°, d = 3.629 Å, I 13, hkl 1 0 0; 2θ = 32.81°, d = 2.729 Å, I 100, hkl 1 1 1; 2θ = 37.55°, d = 2.395 Å, I 51, hkl 0 1 3; 2θ = 37.76°, d = 2.383 Å, I 27, hkl 0 2 0; 2θ = 50.28°, d = 1.814 Å, I 11, hkl 2 0 0; 2θ = 50.84°, d = 1.796 Å, I 18, hkl 1 2 2; 2θ = 64.42°, d = 1.446 Å, I 20, hkl 2 1 3; 2θ = 89.23°, d = 1.098 Å, I 11, hkl 2 3 3

***

Starting from the PBE geometry in Alexandria, the powder X-ray diffraction pattern of YInCu5 was simulated for a wavelength of 1.5418 Å.
Intensities are scaled so that the largest is 100.

Structure:
a = 8.3219 Å, b = 5.0263 Å, c = 10.5279 Å
α = 90.00°, β = 90.00°, γ = 90.00°
Space group Pnma (No. 62)
Unique sites:
Y 0.2475 0.2500 0.0625 (multiplicity 4)
In 0.1376 0.7500 0.8620 (multiplicity 4)
Cu 0.0532 0.7500 0.1038 (multiplicity 4)
Cu 0.0685 0.0014 0.3121 (multiplicity 8)
Cu 0.0815 0.2500 0.5163 (multiplicity 4)
Cu 0.1858 0.2500 0.7411 (multiplicity 4)

Largest 8 diffraction maxima, in order of rising 2θ, 2θ = 15–90°:
2θ = 35.75°, d = 2.511 Å, I 45, hkl 0 2 0; 2θ = 38.02°, d = 2.367 Å, I 100, hkl 3 1 1; 2θ = 42.91°, d = 2.108 Å, I 33, hkl 2 2 1; 2θ = 44.38°, d = 2.041 Å, I 45, hkl 1 0 5; 2θ = 44.54°, d = 2.034 Å, I 40, hkl 2 1 4; 2θ = 45.72°, d = 1.984 Å, I 40, hkl 1 2 3; 2θ = 65.70°, d = 1.421 Å, I 20, hkl 3 3 1; 2θ = 70.14°, d = 1.342 Å, I 19, hkl 5 2 2

***

Starting from the PBE geometry in Alexandria, the powder X-ray diffraction pattern of ZnIn4Cu was simulated for a wavelength of 1.5418 Å.
Intensities are scaled so that the largest is 100.

Structure:
a = 8.5680 Å, b = 8.5680 Å, c = 8.5680 Å
α = 90.00°, β = 90.00°, γ = 90.00°
Space group F-43m (No. 216)
Unique sites:
Zn 0.0000 0.0000 0.0000 (multiplicity 4)
In 0.1248 0.1248 0.3752 (multiplicity 16)
Cu 0.2500 0.2500 0.7500 (multiplicity 4)

Largest 8 diffraction maxima, in order of rising 2θ, 2θ = 15–90°:
2θ = 17.93°, d = 4.947 Å, I 28, hkl 1 1 1; 2θ = 29.49°, d = 3.029 Å, I 14, hkl 2 2 0; 2θ = 34.73°, d = 2.583 Å, I 100, hkl 3 1 1; 2θ = 36.32°, d = 2.473 Å, I 58, hkl 2 2 2; 2θ = 55.75°, d = 1.649 Å, I 33, hkl 5 1 1; 2θ = 61.19°, d = 1.515 Å, I 30, hkl 4 4 0; 2θ = 73.29°, d = 1.292 Å, I 21, hkl 6 2 2; 2θ = 87.44°, d = 1.115 Å, I 20, hkl 7 3 1

***

Starting from the PBE geometry in Alexandria, the powder X-ray diffraction pattern of Zn2InCu was simulated for a wavelength of 1.5418 Å.
Intensities are scaled so that the largest is 100.

Structure:
a = 3.0827 Å, b = 4.2732 Å, c = 5.2200 Å
α = 90.00°, β = 100.02°, γ = 90.00°
Space group Pm (No. 6)
Unique sites:
Zn 0.0000 0.0000 0.0000 (multiplicity 1)
Zn 0.4716 0.5000 0.8493 (multiplicity 1)
In 0.6148 0.0000 0.4823 (multiplicity 1)
Cu 0.1092 0.5000 0.2783 (multiplicity 1)

Largest 8 diffraction maxima, in order of rising 2θ, 2θ = 15–90°:
2θ = 31.51°, d = 2.839 Å, I 23, hkl 1 0 -1; 2θ = 36.30°, d = 2.475 Å, I 31, hkl 1 1 0; 2θ = 36.92°, d = 2.435 Å, I 31, hkl 1 0 1; 2θ = 38.05°, d = 2.365 Å, I 100, hkl 1 1 -1; 2θ = 40.98°, d = 2.203 Å, I 95, hkl 0 1 2; 2θ = 42.30°, d = 2.137 Å, I 60, hkl 0 2 0; 2θ = 42.74°, d = 2.116 Å, I 69, hkl 1 1 1; 2θ = 61.06°, d = 1.518 Å, I 23, hkl 2 0 0

***

Starting from the PBE geometry in Alexandria, the powder X-ray diffraction pattern of ZnIn2Cu was simulated for a wavelength of 1.5418 Å.
Intensities are scaled so that the largest is 100.

Structure:
a = 3.0322 Å, b = 4.4670 Å, c = 12.0747 Å
α = 90.00°, β = 90.00°, γ = 90.00°
Space group Imm2 (No. 44)
Unique sites:
Zn 0.0000 0.0000 0.0000 (multiplicity 2)
In 0.0000 0.0000 0.3921 (multiplicity 2)
In 0.0000 0.5000 0.1819 (multiplicity 2)
Cu 0.0000 0.5000 0.6801 (multiplicity 2)

Largest 8 diffraction maxima, in order of rising 2θ, 2θ = 15–90°:
2θ = 29.59°, d = 3.019 Å, I 27, hkl 0 0 4; 2θ = 29.88°, d = 2.990 Å, I 39, hkl 0 1 3; 2θ = 30.39°, d = 2.941 Å, I 12, hkl 1 0 1; 2θ = 38.87°, d = 2.317 Å, I 100, hkl 1 1 2; 2θ = 40.38°, d = 2.233 Å, I 28, hkl 0 2 0; 2θ = 48.17°, d = 1.889 Å, I 13, hkl 1 0 5; 2θ = 72.42°, d = 1.305 Å, I 15, hkl 1 3 2; 2θ = 73.18°, d = 1.293 Å, I 14, hkl 1 1 8